EuVO4: calculated X-ray powder pattern (λ = 1.5418 Å (Cu Kα)), based on a structure optimized by DFT (PBE+U).
Kinematic intensities with the Lorentz-polarization factor, no thermal factor.

The 6 most intense peaks (10° ≤ 2θ ≤ 90°), by angle:
h k l  2θ/deg  intensity
1 0 1  18.74  25
1 1 2  28.80  100
2 0 0  34.59  18
2 0 4  47.01  27
1 1 6  53.60  18
1 3 2  58.48  29

Crystal structure
```
data_EuVO4
_cell_length_a 5.1869
_cell_length_b 5.1869
_cell_length_c 11.5955
_cell_angle_alpha 90.00
_cell_angle_beta 90.00
_cell_angle_gamma 90.00
_symmetry_space_group_name_H-M 'I 41/a'
_symmetry_Int_Tables_number 88
loop_
_symmetry_equiv_pos_as_xyz
'x,y,z'
'-x,-y,-z'
'-y+3/4,x+1/4,z+1/4'
'y+3/4,-x+1/4,-z+1/4'
'-x+1/2,-y,z+1/2'
'x+1/2,y,-z+1/2'
'y+3/4,-x+3/4,z+3/4'
'-y+3/4,x+3/4,-z+3/4'
'x+1/2,y+1/2,z+1/2'
'-x+1/2,-y+1/2,-z+1/2'
'-y+1/4,x+3/4,z+3/4'
'y+1/4,-x+3/4,-z+3/4'
'-x,-y+1/2,z'
'x,y+1/2,-z'
'y+1/4,-x+1/4,z+1/4'
'-y+1/4,x+1/4,-z+1/4'
loop_
_atom_site_label
_atom_site_type_symbol
_atom_site_fract_x
_atom_site_fract_y
_atom_site_fract_z
_atom_site_occupancy
Eu1 Eu 0.0000 0.2500 0.1250 1
V1 V 0.0000 0.2500 0.6250 1
O1 O 0.1447 0.4971 0.7051 1
```



LiVPO5: calculated X-ray powder pattern (λ = 1.5418 Å (Cu Kα)), based on a structure optimized by DFT (PBE+U).
Kinematic intensities with the Lorentz-polarization factor, no thermal factor.

The 6 most intense peaks (10° ≤ 2θ ≤ 90°), by angle:
h k l  2θ/deg  intensity
1 0 -1  17.95  100
1 0 1  26.30  24
1 0 -2  27.46  11
0 0 2  28.59  15
0 2 -1  29.75  26
1 -2 0  34.65  16

Crystal structure
```
data_LiVPO5
_cell_length_a 5.4915
_cell_length_b 6.0090
_cell_length_c 7.2763
_cell_angle_alpha 112.66
_cell_angle_beta 109.68
_cell_angle_gamma 90.38
_symmetry_space_group_name_H-M 'P -1'
_symmetry_Int_Tables_number 2
loop_
_symmetry_equiv_pos_as_xyz
'x,y,z'
'-x,-y,-z'
loop_
_atom_site_label
_atom_site_type_symbol
_atom_site_fract_x
_atom_site_fract_y
_atom_site_fract_z
_atom_site_occupancy
Li1 Li 0.1850 0.3924 0.1049 1
V1 V 0.3282 0.8857 0.7846 1
P1 P 0.2053 0.3282 0.6589 1
O1 O 0.0255 0.2420 0.4208 1
O2 O 0.0607 0.3979 0.8129 1
O3 O 0.2831 0.0241 0.0230 1
O4 O 0.3767 0.1278 0.6851 1
O5 O 0.4116 0.5535 0.7156 1
```